No. 1
Diffraction record for NpZn. The powder X-ray diffraction pattern is calculated, not measured: it uses DFT lattice parameters and positions (PBE) and a wavelength of 1.5418 Å.
Intensities are scaled so that the largest is 100.

```
NpZn
1.0
3.015 0.000 0.000
0.000 3.748 0.000
-0.465 0.000 6.382
Np Zn
2 2
Direct
0.171 0.250 0.092 Np
0.829 0.750 0.908 Np
0.264 0.250 0.597 Zn
0.736 0.750 0.403 Zn
```

Principal peaks in the range 10° ≤ 2θ ≤ 80°, sorted by position:
2θ/deg  intensity
13.88  100
31.96  22
37.00  85
38.38  75
39.66  39
41.77  24
48.58  23
49.51  19



No. 2
Diffraction record for Cs2CrSBr6. The powder X-ray diffraction pattern is calculated, not measured: it uses DFT lattice parameters and positions (PBE) and a wavelength of 1.5418 Å.
Intensities are scaled so that the largest is 100.

```
Cs2CrSBr6
1.0
-3.714 3.714 6.199
3.714 -3.714 6.199
3.714 3.714 -6.199
Cs Cr S Br
2 1 1 6
Direct
0.250 0.750 0.500 Cs
0.750 0.250 0.500 Cs
0.000 0.000 0.000 Cr
0.500 0.500 0.000 S
0.201 0.201 0.000 Br
0.254 0.254 0.509 Br
0.254 0.746 0.000 Br
0.746 0.254 0.000 Br
0.746 0.746 0.491 Br
0.799 0.799 0.000 Br
```

Principal peaks in the range 10° ≤ 2θ ≤ 80°, sorted by position:
2θ/deg  intensity
22.18  21
28.01  100
28.80  31
34.15  52
45.26  34
49.06  18
57.45  26
57.89  16